Structure and computed powder X-ray diffraction pattern of Tb4Y4Tm3 (a GGA-PBE-relaxed structure; Cu Kα (weighted mean of Kα1 and Kα2)).

Largest 10 diffraction maxima, in order of rising 2θ, 10° ≤ 2θ ≤ 90°:
30.5 deg, intensity 12, hkl 3 1 -1; 31.0 deg, intensity 26, hkl 7 1 0; 31.7 deg, intensity 58, hkl 3 1 1; 32.1 deg, intensity 100, hkl 2 0 -2; 45.2 deg, intensity 18, hkl 9 1 -2; 57.2 deg, intensity 19, hkl 8 0 3; 57.5 deg, intensity 12, hkl 13 1 2; 62.5 deg, intensity 29, hkl 2 2 -2; 67.2 deg, intensity 11, hkl 4 0 -4; 81.0 deg, intensity 14, hkl 8 2 3

Structure:
```
data_Tb4Y4Tm3
_cell_length_a 35.826
_cell_length_b 3.516
_cell_length_c 5.578
_cell_angle_alpha 90.00
_cell_angle_beta 98.93
_cell_angle_gamma 90.00
_space_group_name_H-M_alt 'C 1 2/m 1'
_space_group_IT_number 12
loop_
_space_group_symop_operation_xyz
'x,y,z'
'-x,-y,-z'
'-x,y,-z'
'x,-y,z'
'x+1/2,y+1/2,z'
'-x+1/2,-y+1/2,-z'
'-x+1/2,y+1/2,-z'
'x+1/2,-y+1/2,z'
loop_
_atom_site_label
_atom_site_type_symbol
_atom_site_fract_x
_atom_site_fract_y
_atom_site_fract_z
Tb1 Tb 0.046 0.000 0.045
Tb2 Tb 0.180 0.000 0.679
Y1 Y 0.090 0.000 0.589
Y2 Y 0.233 0.000 0.233
Tm1 Tm 0.000 0.500 0.500
Tm2 Tm 0.136 0.500 0.136
```